(1)
Diffraction record for CuN2Cl4. The X-ray diffraction stick pattern is computed, not measured: it uses a crystal structure in Alexandria, relaxed with GGA-PBE and Cu Kα (weighted mean of Kα1 and Kα2).
Lines closer than 0.1° are merged.

Crystal structure
a = 3.4148 Å, b = 4.3563 Å, c = 12.6748 Å
α = 90.80°, β = 95.41°, γ = 109.52°
Space group P-1 (No. 2)
Symmetry-distinct sites (fractional):
Cu  0.0000  0.0000  0.0000 x1
N  0.3814  0.2346  0.3790 x2
Cl  0.1923  0.5308  0.6538 x2
Cl  0.4610  0.8263  0.1069 x2

Peak list (10 most intense, 5° ≤ 2θ ≤ 70°, in order of rising 2θ)
2θ/deg, I/Imax, hkl
7.0, 100, 0 0 1
14.1, 22, 0 0 2
21.1, 40, 0 0 3
22.5, 33, 0 1 -1
23.1, 40, 0 1 1
26.5, 59, 0 1 2
33.2, 31, 1 -1 2
42.3, 17, 1 0 4
48.2, 17, 1 -1 5
49.4, 11, 1 -2 3

=====

(2)
Diffraction record for NaAl2Te2. The X-ray diffraction stick pattern is computed, not measured: it uses a crystal structure in Alexandria, relaxed with GGA-PBE and Cu Kα (weighted mean of Kα1 and Kα2).
Lines closer than 0.1° are merged.

Crystal structure
a = 5.4403 Å, b = 5.4403 Å, c = 9.0763 Å
α = 90.00°, β = 90.00°, γ = 90.00°
Space group I4/mmm (No. 139)
Symmetry-distinct sites (fractional):
Na  0.0000  0.0000  0.0000 x2
Al  0.0000  0.0000  0.3551 x4
Te  0.0000  0.5000  0.2500 x4

Peak list (10 most intense, 5° ≤ 2θ ≤ 70°, in order of rising 2θ)
2θ/deg, I/Imax, hkl
19.6, 63, 0 0 2
23.1, 42, 1 1 0
30.5, 100, 1 1 2
32.9, 65, 2 0 0
38.6, 44, 2 0 2
46.5, 34, 1 1 4
47.3, 23, 2 2 0
51.6, 19, 2 2 2
57.3, 33, 3 1 2
68.4, 21, 3 1 4

=====

(3)
Diffraction record for PdS4Br2. The X-ray diffraction stick pattern is computed, not measured: it uses a crystal structure in Alexandria, relaxed with GGA-PBE and Cu Kα (weighted mean of Kα1 and Kα2).
Lines closer than 0.1° are merged.

Crystal structure
a = 6.4431 Å, b = 9.9187 Å, c = 9.9710 Å
α = 118.63°, β = 108.83°, γ = 90.07°
Space group P1 (No. 1)
Symmetry-distinct sites (fractional):
Pd  0.0000  0.0000  0.0000 x1
Pd  0.2957  0.4997  0.9996 x1
S  0.0268  0.0460  0.2577 x1
S  0.0542  0.4474  0.7434 x1
S  0.1782  0.2207  0.2561 x1
S  0.2294  0.2806  0.7421 x1
S  0.3731  0.7200  0.2558 x1
S  0.5262  0.5454  0.2573 x1
S  0.8089  0.7804  0.7426 x1
S  0.9855  0.9474  0.7437 x1
Br  0.3260  0.8833  0.7282 x1
Br  0.6184  0.9064  0.2779 x1
Br  0.6978  0.3829  0.7274 x1
Br  0.9550  0.4066  0.2780 x1

Peak list (10 most intense, 5° ≤ 2θ ≤ 70°, in order of rising 2θ)
2θ/deg, I/Imax, hkl
10.9, 27, 0 0 1
14.8, 24, 1 0 0
16.4, 36, 1 1 -1
17.9, 48, 0 2 -1
19.8, 100, 1 1 -2
20.8, 49, 0 2 0
21.2, 33, 0 2 -2
21.8, 34, 0 0 2
29.7, 67, 2 1 -1
38.1, 31, 1 3 -4